Record 1
For Ti2S3O12, the PBE geometry in Alexandria gives the theoretical XRD peak list in this record (copper Kα).
Neutral-atom scattering factors, no anomalous dispersion.

abc: 8.965 8.965 8.965
angles: 57.96 57.96 57.96
Fractional coordinates of all 34 atoms:
Ti 0.145 0.145 0.145
Ti 0.354 0.354 0.354
Ti 0.646 0.646 0.646
Ti 0.855 0.855 0.855
S 0.039 0.461 0.751
S 0.249 0.961 0.539
S 0.461 0.751 0.039
S 0.539 0.249 0.961
S 0.751 0.039 0.461
S 0.961 0.539 0.249
O 0.009 0.623 0.781
O 0.072 0.287 0.912
O 0.088 0.928 0.713
O 0.130 0.512 0.268
O 0.204 0.443 0.579
O 0.219 0.991 0.377
O 0.268 0.130 0.512
O 0.287 0.912 0.072
O 0.377 0.219 0.991
O 0.421 0.796 0.557
O 0.443 0.579 0.204
O 0.488 0.732 0.870
O 0.512 0.268 0.130
O 0.557 0.421 0.796
O 0.579 0.204 0.443
O 0.623 0.781 0.009
O 0.713 0.088 0.928
O 0.732 0.870 0.488
O 0.781 0.009 0.623
O 0.796 0.557 0.421
O 0.870 0.488 0.732
O 0.912 0.072 0.287
O 0.928 0.713 0.088
O 0.991 0.377 0.219

Largest 10 diffraction maxima, most intense first, 2θ = 10–90°:
d = 3.750 Å, I = 100
d = 2.822 Å, I = 40
d = 6.235 Å, I = 36
d = 4.478 Å, I = 29
d = 3.118 Å, I = 29
d = 1.754 Å, I = 11
d = 2.507 Å, I = 10
d = 1.875 Å, I = 10
d = 1.642 Å, I = 8
d = 4.343 Å, I = 8

=====

Record 2
For Tm2S2O, the PBE geometry in Alexandria gives the theoretical XRD peak list in this record (copper Kα).
Neutral-atom scattering factors, no anomalous dispersion.

abc: 8.185 6.802 6.791
angles: 90.00 99.47 90.00
Fractional coordinates of all 20 atoms:
Tm 0.075 0.146 0.324
Tm 0.075 0.354 0.824
Tm 0.361 0.553 0.251
Tm 0.361 0.947 0.751
Tm 0.639 0.053 0.249
Tm 0.639 0.447 0.749
Tm 0.925 0.646 0.176
Tm 0.925 0.854 0.676
S 0.182 0.631 0.581
S 0.182 0.869 0.081
S 0.425 0.223 0.470
S 0.425 0.277 0.970
S 0.575 0.723 0.030
S 0.575 0.777 0.530
S 0.818 0.131 0.919
S 0.818 0.369 0.419
O 0.117 0.087 0.650
O 0.117 0.413 0.150
O 0.883 0.587 0.850
O 0.883 0.913 0.350

Largest 10 diffraction maxima, most intense first, 2θ = 10–90°:
d = 2.917 Å, I = 100
d = 3.033 Å, I = 63
d = 3.277 Å, I = 51
d = 3.349 Å, I = 41
d = 4.337 Å, I = 39
d = 2.290 Å, I = 31
d = 3.471 Å, I = 28
d = 2.135 Å, I = 27
d = 2.256 Å, I = 25
d = 3.005 Å, I = 22

=====

Record 3
For USO6, the PBE geometry in Alexandria gives the theoretical XRD peak list in this record (copper Kα).
Neutral-atom scattering factors, no anomalous dispersion.

abc: 6.825 6.017 12.958
angles: 90.00 103.27 90.00
Fractional coordinates of all 32 atoms:
U 0.178 0.246 0.339
U 0.178 0.254 0.839
U 0.822 0.746 0.161
U 0.822 0.754 0.661
S 0.285 0.542 0.106
S 0.285 0.958 0.606
S 0.715 0.042 0.394
S 0.715 0.458 0.894
O 0.090 0.514 0.769
O 0.090 0.986 0.269
O 0.120 0.707 0.099
O 0.120 0.793 0.599
O 0.253 0.503 0.406
O 0.253 0.997 0.906
O 0.265 0.139 0.681
O 0.265 0.361 0.181
O 0.275 0.055 0.500
O 0.275 0.445 0.000
O 0.481 0.655 0.143
O 0.481 0.845 0.643
O 0.519 0.155 0.357
O 0.519 0.345 0.857
O 0.725 0.555 0.000
O 0.725 0.945 0.500
O 0.735 0.639 0.819
O 0.735 0.861 0.319
O 0.747 0.003 0.094
O 0.747 0.497 0.594
O 0.880 0.207 0.401
O 0.880 0.293 0.901
O 0.910 0.014 0.731
O 0.910 0.486 0.231

Largest 10 diffraction maxima, most intense first, 2θ = 10–90°:
d = 4.353 Å, I = 100
d = 4.459 Å, I = 77
d = 5.209 Å, I = 51
d = 2.605 Å, I = 38
d = 3.402 Å, I = 33
d = 2.788 Å, I = 33
d = 2.869 Å, I = 24
d = 3.322 Å, I = 22
d = 6.642 Å, I = 22
d = 6.306 Å, I = 18

=====

Record 4
For U3S3O4, the PBE geometry in Alexandria gives the theoretical XRD peak list in this record (copper Kα).
Neutral-atom scattering factors, no anomalous dispersion.

abc: 7.505 7.505 7.505
angles: 109.47 109.47 109.47
Fractional coordinates of all 20 atoms:
U 0.125 0.750 0.875
U 0.250 0.625 0.375
U 0.375 0.250 0.625
U 0.625 0.375 0.250
U 0.750 0.875 0.125
U 0.875 0.125 0.750
S 0.125 0.875 0.250
S 0.250 0.125 0.875
S 0.375 0.625 0.750
S 0.625 0.750 0.375
S 0.750 0.375 0.625
S 0.875 0.250 0.125
O 0.000 0.131 0.500
O 0.000 0.631 0.500
O 0.131 0.500 0.000
O 0.369 0.369 0.369
O 0.500 0.000 0.131
O 0.500 0.000 0.631
O 0.631 0.500 0.000
O 0.869 0.869 0.869

Largest 10 diffraction maxima, most intense first, 2θ = 10–90°:
d = 3.538 Å, I = 100
d = 1.938 Å, I = 37
d = 2.316 Å, I = 35
d = 1.699 Å, I = 23
d = 2.740 Å, I = 21
d = 1.406 Å, I = 20
d = 1.848 Å, I = 19
d = 1.179 Å, I = 17
d = 3.064 Å, I = 13
d = 1.582 Å, I = 9

=====

Record 5
For Yb2US3O2, the PBE geometry in Alexandria gives the theoretical XRD peak list in this record (copper Kα).
Neutral-atom scattering factors, no anomalous dispersion.

abc: 3.797 3.797 20.918
angles: 90.00 90.00 90.00
Fractional coordinates of all 16 atoms:
Yb 0.000 0.000 0.000
Yb 0.000 0.000 0.323
Yb 0.500 0.500 0.500
Yb 0.500 0.500 0.823
U 0.000 0.000 0.697
U 0.500 0.500 0.197
S 0.000 0.000 0.133
S 0.000 0.000 0.512
S 0.000 0.000 0.870
S 0.500 0.500 0.012
S 0.500 0.500 0.370
S 0.500 0.500 0.633
O 0.000 0.500 0.246
O 0.000 0.500 0.746
O 0.500 0.000 0.246
O 0.500 0.000 0.746

Largest 10 diffraction maxima, most intense first, 2θ = 10–90°:
d = 3.335 Å, I = 100
d = 2.685 Å, I = 57
d = 1.650 Å, I = 43
d = 2.127 Å, I = 40
d = 3.486 Å, I = 30
d = 1.899 Å, I = 25
d = 2.348 Å, I = 25
d = 2.812 Å, I = 24
d = 1.667 Å, I = 15
d = 5.230 Å, I = 13

=====

Record 6
For ZrUS2O, the PBE geometry in Alexandria gives the theoretical XRD peak list in this record (copper Kα).
Neutral-atom scattering factors, no anomalous dispersion.

abc: 3.695 3.695 13.013
angles: 90.00 90.00 90.00
Fractional coordinates of all 10 atoms:
Zr 0.250 0.250 0.088
Zr 0.750 0.750 0.912
U 0.250 0.250 0.607
U 0.750 0.750 0.393
S 0.250 0.250 0.296
S 0.250 0.250 0.885
S 0.750 0.750 0.115
S 0.750 0.750 0.704
O 0.250 0.750 0.500
O 0.750 0.250 0.500

Largest 10 diffraction maxima, most intense first, 2θ = 10–90°:
d = 3.213 Å, I = 100
d = 2.613 Å, I = 63
d = 2.037 Å, I = 38
d = 2.442 Å, I = 30
d = 2.813 Å, I = 29
d = 1.602 Å, I = 28
d = 3.253 Å, I = 28
d = 1.847 Å, I = 26
d = 6.506 Å, I = 16
d = 1.669 Å, I = 16